[1]
Theoretical powder diffraction line list
Compound: CaNdGe
Radiation: CuKα
Structure: a crystal structure in Alexandria, relaxed with GGA-PBE
Intensities are scaled so that the largest is 100.

a b c (Å): 8.5714 8.5714 8.5714
angles (deg): 99.31 99.31 99.31
Fractional coordinates of all 18 atoms:
1 Ca 0.1811 0.4310 0.5406
2 Ca 0.4310 0.5406 0.1811
3 Ca 0.4594 0.8189 0.5690
4 Ca 0.5406 0.1811 0.4310
5 Ca 0.5690 0.4594 0.8189
6 Ca 0.8189 0.5690 0.4594
7 Nd 0.0729 0.9212 0.3180
8 Nd 0.0788 0.6820 0.9271
9 Nd 0.3180 0.0729 0.9212
10 Nd 0.6820 0.9271 0.0788
11 Nd 0.9212 0.3180 0.0729
12 Nd 0.9271 0.0788 0.6820
13 Ge 0.1201 0.8036 0.6315
14 Ge 0.1964 0.3685 0.8799
15 Ge 0.3685 0.8799 0.1964
16 Ge 0.6315 0.1201 0.8036
17 Ge 0.8036 0.6315 0.1201
18 Ge 0.8799 0.1964 0.3685

Largest 10 diffraction maxima, by angle, 2θ from 10° to 90°:
8.300 Å, I 100; 4.071 Å, I 24; 4.036 Å, I 41; 3.503 Å, I 58; 3.039 Å, I 30; 2.948 Å, I 36; 2.791 Å, I 38; 2.485 Å, I 86; 2.469 Å, I 90; 1.751 Å, I 23

***

[2]
Theoretical powder diffraction line list
Compound: TmThHg6
Radiation: CuKα
Structure: a crystal structure in Alexandria, relaxed with GGA-PBE
Intensities are scaled so that the largest is 100.

a b c (Å): 4.9876 6.7542 11.6832
angles (deg): 90.00 90.00 90.00
Fractional coordinates of all 16 atoms:
1 Tm 0.0000 0.0000 0.0000
2 Tm 0.0000 0.5000 0.5000
3 Th 0.5000 0.0000 0.6682
4 Th 0.5000 0.5000 0.1682
5 Hg 0.0000 0.0000 0.4964
6 Hg 0.0000 0.2417 0.2533
7 Hg 0.0000 0.2583 0.7533
8 Hg 0.0000 0.5000 0.9964
9 Hg 0.0000 0.7417 0.7533
10 Hg 0.0000 0.7583 0.2533
11 Hg 0.5000 0.0000 0.1649
12 Hg 0.5000 0.2476 0.9188
13 Hg 0.5000 0.2524 0.4188
14 Hg 0.5000 0.5000 0.6649
15 Hg 0.5000 0.7476 0.4188
16 Hg 0.5000 0.7524 0.9188

Largest 10 diffraction maxima, by angle, 2θ from 10° to 90°:
2.923 Å, I 25; 2.522 Å, I 100; 2.494 Å, I 22; 1.897 Å, I 15; 1.687 Å, I 20; 1.445 Å, I 18; 1.402 Å, I 16; 1.398 Å, I 22; 1.261 Å, I 4; 1.098 Å, I 8

***

[3]
Theoretical powder diffraction line list
Compound: DyPaCS2
Radiation: CuKα
Structure: a crystal structure in Alexandria, relaxed with GGA-PBE
Intensities are scaled so that the largest is 100.

a b c (Å): 3.8669 3.8669 13.8751
angles (deg): 90.00 90.00 90.00
Fractional coordinates of all 10 atoms:
1 Dy 0.2500 0.2500 0.1179
2 Dy 0.7500 0.7500 0.8821
3 Pa 0.2500 0.2500 0.5894
4 Pa 0.7500 0.7500 0.4106
5 C 0.2500 0.7500 0.5000
6 C 0.7500 0.2500 0.5000
7 S 0.2500 0.2500 0.3047
8 S 0.2500 0.2500 0.9076
9 S 0.7500 0.7500 0.0924
10 S 0.7500 0.7500 0.6953

Largest 10 diffraction maxima, by angle, 2θ from 10° to 90°:
6.938 Å, I 17; 3.469 Å, I 26; 3.378 Å, I 100; 2.967 Å, I 16; 2.734 Å, I 59; 2.582 Å, I 23; 2.147 Å, I 32; 1.984 Å, I 15; 1.933 Å, I 23; 1.678 Å, I 29